No. 1
# Er5ThTl4
Calculated powder diffraction line list, copper Kα. Input: a crystal structure in Alexandria, relaxed with PBE.
No peak broadening, texture or thermal motion is included.

Most intense lines, 5 to 70 degrees two-theta, by angle:
- 32.48 deg, I 100.0
- 35.25 deg, I 1.7
- 35.95 deg, I 39.6
- 40.97 deg, I 11.9
- 51.75 deg, I 14.2
- 55.62 deg, I 19.7
- 59.12 deg, I 1.5
- 62.44 deg, I 31.5
- 68.03 deg, I 10.9
- 69.29 deg, I 8.5

Cell and atoms:
a = 3.533 Å, b = 3.533 Å, c = 22.028 Å
α = 90.00°, β = 90.00°, γ = 90.00°
Space group P4/mmm (No. 123)
One atom of each set of equivalent atoms:
Er (0.000, 0.000, 0.000)
Er (0.000, 0.000, 0.195)
Er (0.000, 0.000, 0.390)
Th (0.500, 0.500, 0.500)
Tl (0.500, 0.500, 0.097)
Tl (0.500, 0.500, 0.292)

No. 2
# ErTh2Tl4
Calculated powder diffraction line list, copper Kα. Input: a crystal structure in Alexandria, relaxed with PBE.
No peak broadening, texture or thermal motion is included.

Most intense lines, 5 to 70 degrees two-theta, by angle:
- 29.19 deg, I 62.2
- 29.35 deg, I 59.3
- 32.36 deg, I 60.2
- 33.12 deg, I 95.9
- 33.27 deg, I 96.6
- 33.37 deg, I 100.0
- 33.61 deg, I 98.2
- 33.75 deg, I 99.6
- 34.54 deg, I 73.6
- 34.64 deg, I 54.1

Cell and atoms:
a = 6.122 Å, b = 6.273 Å, c = 10.914 Å
α = 90.00°, β = 105.75°, γ = 90.00°
Space group P2_1/m (No. 11)
One atom of each set of equivalent atoms:
Er (0.204, 0.250, 0.182)
Th (0.311, 0.750, 0.425)
Th (0.385, 0.750, 0.015)
Tl (0.047, 0.250, 0.875)
Tl (0.131, 0.250, 0.450)
Tl (0.326, 0.505, 0.717)

No. 3
# Er4TmTh6
Calculated powder diffraction line list, copper Kα. Input: a crystal structure in Alexandria, relaxed with PBE.
No peak broadening, texture or thermal motion is included.

Most intense lines, 5 to 70 degrees two-theta, by angle:
- 28.18 deg, I 61.6
- 28.84 deg, I 36.0
- 29.59 deg, I 84.3
- 30.36 deg, I 29.6
- 31.55 deg, I 100.0
- 34.53 deg, I 58.7
- 36.36 deg, I 51.3
- 39.68 deg, I 31.9
- 57.96 deg, I 23.9
- 59.56 deg, I 31.2

Cell and atoms:
a = 6.425 Å, b = 6.425 Å, c = 17.665 Å
α = 90.00°, β = 90.00°, γ = 90.00°
Space group I-42m (No. 121)
One atom of each set of equivalent atoms:
Er (0.183, 0.183, 0.374)
Tm (0.000, 0.000, 0.000)
Th (0.000, 0.500, 0.000)
Th (0.187, 0.187, 0.186)

No. 4
# ErTmTh2
Calculated powder diffraction line list, copper Kα. Input: a crystal structure in Alexandria, relaxed with PBE.
No peak broadening, texture or thermal motion is included.

Most intense lines, 5 to 70 degrees two-theta, by angle:
- 17.76 deg, I 1.8
- 25.12 deg, I 1.7
- 30.93 deg, I 100.0
- 35.82 deg, I 34.0
- 35.97 deg, I 16.8
- 51.56 deg, I 12.3
- 51.67 deg, I 24.4
- 61.34 deg, I 29.3
- 61.55 deg, I 14.5
- 64.46 deg, I 12.7

Cell and atoms:
a = 3.545 Å, b = 3.545 Å, c = 9.987 Å
α = 90.00°, β = 90.00°, γ = 90.00°
Space group P4/mmm (No. 123)
One atom of each set of equivalent atoms:
Er (0.000, 0.000, 0.000)
Tm (0.000, 0.000, 0.500)
Th (0.500, 0.500, 0.251)

No. 5
# Er4Tm4Th3
Calculated powder diffraction line list, copper Kα. Input: a crystal structure in Alexandria, relaxed with PBE.
No peak broadening, texture or thermal motion is included.

Most intense lines, 5 to 70 degrees two-theta, by angle:
- 31.08 deg, I 26.5
- 31.34 deg, I 12.8
- 32.06 deg, I 34.5
- 32.57 deg, I 100.0
- 34.14 deg, I 16.8
- 47.54 deg, I 13.5
- 57.07 deg, I 9.5
- 57.47 deg, I 22.1
- 63.19 deg, I 11.0
- 63.70 deg, I 11.0

Cell and atoms:
a = 10.504 Å, b = 5.584 Å, c = 11.863 Å
α = 90.00°, β = 90.00°, γ = 90.00°
Space group Amm2 (No. 38)
One atom of each set of equivalent atoms:
Er (0.000, 0.000, 0.000)
Er (0.216, 0.000, 0.795)
Er (0.500, 0.000, 0.938)
Tm (0.000, 0.000, 0.607)
Tm (0.294, 0.000, 0.154)
Tm (0.500, 0.000, 0.660)
Th (0.000, 0.000, 0.307)
Th (0.287, 0.000, 0.453)

No. 6
# Er2Tm4Th3
Calculated powder diffraction line list, copper Kα. Input: a crystal structure in Alexandria, relaxed with PBE.
No peak broadening, texture or thermal motion is included.

Most intense lines, 5 to 70 degrees two-theta, by angle:
- 29.19 deg, I 46.9
- 30.76 deg, I 50.9
- 30.98 deg, I 13.0
- 32.31 deg, I 69.4
- 33.95 deg, I 100.0
- 42.92 deg, I 31.4
- 51.76 deg, I 38.6
- 57.83 deg, I 30.9
- 61.43 deg, I 43.8
- 63.35 deg, I 16.9

Cell and atoms:
a = 3.5323 Å, b = 3.5323 Å, c = 26.1572 Å
α = 90.00°, β = 90.00°, γ = 120.00°
Space group P3m1 (No. 156)
One atom of each set of equivalent atoms:
Er (0.0000, 0.0000, 0.0000)
Er (0.0000, 0.0000, 0.2203)
Tm (0.0000, 0.0000, 0.3456)
Tm (0.0000, 0.0000, 0.5654)
Tm (0.3333, 0.6667, 0.6717)
Tm (0.3333, 0.6667, 0.8931)
Th (0.0000, 0.0000, 0.7825)
Th (0.3333, 0.6667, 0.1127)
Th (0.3333, 0.6667, 0.4530)

No. 7
# ErTm7Th3
Calculated powder diffraction line list, copper Kα. Input: a crystal structure in Alexandria, relaxed with PBE.
No peak broadening, texture or thermal motion is included.

Most intense lines, 5 to 70 degrees two-theta, by angle:
- 18.83 deg, I 11.4
- 31.63 deg, I 18.1
- 31.74 deg, I 13.8
- 32.29 deg, I 100.0
- 32.40 deg, I 12.6
- 32.88 deg, I 85.2
- 46.68 deg, I 14.8
- 58.28 deg, I 27.1
- 58.52 deg, I 10.7
- 64.19 deg, I 16.2

Cell and atoms:
a = 6.850 Å, b = 5.455 Å, c = 10.005 Å
α = 90.00°, β = 109.72°, γ = 90.00°
Space group P2/m (No. 10)
One atom of each set of equivalent atoms:
Er (0.000, 0.000, 0.000)
Tm (0.085, 0.000, 0.671)
Tm (0.174, 0.500, 0.862)
Tm (0.361, 0.500, 0.207)
Tm (0.500, 0.000, 0.500)
Th (0.223, 0.500, 0.501)
Th (0.500, 0.000, 0.000)

No. 8
# Er6Tm12Th
Calculated powder diffraction line list, copper Kα. Input: a crystal structure in Alexandria, relaxed with PBE.
No peak broadening, texture or thermal motion is included.

Most intense lines, 5 to 70 degrees two-theta, by angle:
- 31.15 deg, I 43.6
- 31.95 deg, I 25.2
- 32.34 deg, I 100.0
- 33.44 deg, I 66.4
- 34.01 deg, I 27.3
- 35.52 deg, I 18.6
- 45.89 deg, I 14.7
- 56.60 deg, I 20.5
- 57.00 deg, I 11.0
- 59.33 deg, I 18.6

Cell and atoms:
a = 11.7257 Å, b = 11.7257 Å, c = 14.9674 Å
α = 90.00°, β = 90.00°, γ = 120.00°
Space group R-3 (No. 148, hexagonal axes)
One atom of each set of equivalent atoms:
Er (0.0090, 0.4221, 0.1763)
Tm (0.0246, 0.8414, 0.6899)
Tm (0.0407, 0.8532, 0.9148)
Th (0.0000, 0.0000, 0.5000)

No. 9
# Er6TmTh2
Calculated powder diffraction line list, copper Kα. Input: a crystal structure in Alexandria, relaxed with PBE.
No peak broadening, texture or thermal motion is included.

Most intense lines, 5 to 70 degrees two-theta, by angle:
- 11.86 deg, I 1.9
- 31.05 deg, I 100.0
- 35.82 deg, I 17.2
- 36.09 deg, I 33.5
- 51.76 deg, I 24.3
- 51.97 deg, I 12.0
- 61.42 deg, I 14.6
- 61.72 deg, I 14.4
- 61.83 deg, I 14.2
- 64.72 deg, I 12.4

Cell and atoms:
a = 5.013 Å, b = 14.915 Å, c = 14.948 Å
α = 90.00°, β = 90.00°, γ = 90.00°
Space group Fmmm (No. 69)
One atom of each set of equivalent atoms:
Er (0.000, 0.164, 0.167)
Er (0.000, 0.166, 0.500)
Tm (0.000, 0.000, 0.000)
Th (0.000, 0.000, 0.332)

No. 10
# Er9Tm3Th2
Calculated powder diffraction line list, copper Kα. Input: a crystal structure in Alexandria, relaxed with PBE.
No peak broadening, texture or thermal motion is included.

Most intense lines, 5 to 70 degrees two-theta, by angle:
- 31.12 deg, I 100.0
- 36.05 deg, I 17.0
- 36.11 deg, I 33.7
- 51.97 deg, I 36.2
- 61.80 deg, I 28.7
- 61.88 deg, I 14.3
- 64.90 deg, I 12.4

Cell and atoms:
a = 17.952 Å, b = 4.971 Å, c = 11.132 Å
α = 90.00°, β = 119.69°, γ = 90.00°
Space group Cm (No. 8)
One atom of each set of equivalent atoms:
Er (0.000, 0.000, 0.000)
Er (0.001, 0.500, 0.500)
Er (0.071, 0.500, 0.857)
Er (0.073, 0.000, 0.358)
Er (0.215, 0.500, 0.572)
Er (0.217, 0.000, 0.073)
Er (0.288, 0.000, 0.430)
Er (0.358, 0.500, 0.285)
Er (0.430, 0.500, 0.645)
Tm (0.143, 0.500, 0.213)
Tm (0.146, 0.000, 0.716)
Tm (0.288, 0.500, 0.930)
Th (0.359, 0.000, 0.787)
Th (0.430, 0.000, 0.142)

No. 11
# Er2Tm4Th
Calculated powder diffraction line list, copper Kα. Input: a crystal structure in Alexandria, relaxed with PBE.
No peak broadening, texture or thermal motion is included.

Most intense lines, 5 to 70 degrees two-theta, by angle:
- 29.07 deg, I 37.5
- 31.80 deg, I 51.6
- 32.82 deg, I 100.0
- 33.57 deg, I 94.3
- 51.45 deg, I 41.0
- 56.82 deg, I 21.2
- 58.28 deg, I 19.4
- 61.77 deg, I 47.2
- 62.38 deg, I 16.1
- 62.84 deg, I 16.0

Cell and atoms:
a = 3.5523 Å, b = 3.5523 Å, c = 59.0851 Å
α = 90.00°, β = 90.00°, γ = 120.00°
Space group R3m (No. 160, hexagonal axes)
One atom of each set of equivalent atoms:
Er (0.0000, 0.0000, 0.0000)
Er (0.0000, 0.0000, 0.0944)
Tm (0.0000, 0.0000, 0.1885)
Tm (0.0000, 0.0000, 0.2858)
Tm (0.0000, 0.0000, 0.7140)
Tm (0.0000, 0.0000, 0.8082)
Th (0.0000, 0.0000, 0.9038)

No. 12
# Er6TmTh4
Calculated powder diffraction line list, copper Kα. Input: a crystal structure in Alexandria, relaxed with PBE.
No peak broadening, texture or thermal motion is included.

Most intense lines, 5 to 70 degrees two-theta, by angle:
- 27.27 deg, I 25.3
- 29.09 deg, I 17.6
- 30.88 deg, I 65.7
- 31.68 deg, I 100.0
- 34.10 deg, I 38.8
- 36.70 deg, I 38.0
- 41.66 deg, I 16.6
- 55.42 deg, I 19.8
- 56.97 deg, I 21.0
- 63.88 deg, I 25.9

Cell and atoms:
a = 3.402 Å, b = 5.792 Å, c = 35.590 Å
α = 90.00°, β = 90.00°, γ = 90.00°
Space group Immm (No. 71)
One atom of each set of equivalent atoms:
Er (0.000, 0.000, 0.095)
Er (0.000, 0.000, 0.267)
Er (0.000, 0.000, 0.369)
Tm (0.000, 0.500, 0.500)
Th (0.000, 0.500, 0.044)
Th (0.000, 0.500, 0.318)

No. 13
# Er3Tm8Th3
Calculated powder diffraction line list, copper Kα. Input: a crystal structure in Alexandria, relaxed with PBE.
No peak broadening, texture or thermal motion is included.

Most intense lines, 5 to 70 degrees two-theta, by angle:
- 29.48 deg, I 19.6
- 30.21 deg, I 30.3
- 31.13 deg, I 25.3
- 32.16 deg, I 50.2
- 32.35 deg, I 100.0
- 34.32 deg, I 45.8
- 45.37 deg, I 18.1
- 57.45 deg, I 19.9
- 58.73 deg, I 19.4
- 63.54 deg, I 15.1

Cell and atoms:
a = 5.567 Å, b = 10.603 Å, c = 14.798 Å
α = 90.00°, β = 90.00°, γ = 90.00°
Space group Immm (No. 71)
One atom of each set of equivalent atoms:
Er (0.000, 0.000, 0.000)
Er (0.000, 0.304, 0.000)
Tm (0.000, 0.159, 0.223)
Tm (0.000, 0.342, 0.397)
Th (0.000, 0.000, 0.500)
Th (0.000, 0.500, 0.185)